The following is a simulated powder diffraction line list of Ga2SeS. It was derived from a DFT-relaxed cell (PBE, the Materials Project), using Cu Kα (weighted mean of Kα1 and Kα2).
Lines closer than 0.1° are merged.

Most intense lines, 10 to 90 degrees two-theta, most intense first:
2theta, I_rel
48.24, 100
27.64, 84
32.27, 76
48.87, 67
21.85, 65
10.87, 42
35.50, 31
54.13, 31
71.11, 30
28.18, 29

Structural model:
Cell: 3.7272 3.7272 16.2735 Å, 90.00 90.00 120.00°
Space group P-3m1 (No. 164)
Symmetry-distinct sites (fractional):
Ga  0.3333  0.6667  0.1708 (multiplicity 2)
Ga  0.3333  0.6667  0.3227 (multiplicity 2)
Se  0.3333  0.6667  0.6030 (multiplicity 2)
S  0.3333  0.6667  0.8926 (multiplicity 2)

=====

The following is a simulated powder diffraction line list of Sm3Ge13Os4. It was derived from a DFT-relaxed cell (PBE, the Materials Project), using Cu Kα (weighted mean of Kα1 and Kα2).
Lines closer than 0.1° are merged.

Most intense lines, 10 to 90 degrees two-theta, most intense first:
2theta, I_rel
35.43, 100
39.45, 59
48.84, 55
19.43, 52
33.99, 51
44.34, 39
68.07, 38
36.81, 38
27.62, 26
57.02, 22

Structural model:
Cell: 9.1360 9.1360 9.1360 Å, 90.00 90.00 90.00°
Space group Pm-3n (No. 223)
Symmetry-distinct sites (fractional):
Sm  0.0000  0.2500  0.5000 (multiplicity 6)
Ge  0.0000  0.0000  0.0000 (multiplicity 2)
Ge  0.0000  0.2994  0.1460 (multiplicity 24)
Os  0.2500  0.2500  0.2500 (multiplicity 8)